Record 1
This entry pairs a crystal structure of La2Gd2O5 with its computed X-ray diffraction stick pattern. Radiation: a wavelength of 1.5418 Å. Structure: a crystal structure in OQMD, relaxed with PBE.
Lines closer than 0.1° are merged.

Structural model:
```
La2Gd2O5
1.0
4.0333 0.0000 0.0000
0.0000 4.0333 0.0000
0.0000 0.0000 9.4524
La Gd O
2 2 5
Cartesian
0.0000 0.0000 0.0000 La
0.0000 0.0000 4.7262 La
2.0167 2.0167 2.3391 Gd
2.0167 2.0167 7.1133 Gd
0.0000 2.0167 3.2402 O
0.0000 2.0167 6.2123 O
2.0167 0.0000 3.2402 O
2.0167 0.0000 6.2123 O
2.0167 2.0167 0.0000 O
```

Most intense lines, 15° ≤ 2θ ≤ 90°, by intensity:
| Position (°2θ) | d_spacing | I (rel.) |
| --- | --- | --- |
| 29.11 | 3.068 | 100 |
| 31.37 | 2.852 | 36 |
| 54.45 | 1.685 | 35 |
| 50.13 | 1.820 | 28 |
| 44.95 | 2.017 | 21 |
| 60.34 | 1.534 | 12 |
| 38.08 | 2.363 | 12 |
| 86.76 | 1.122 | 11 |
| 81.04 | 1.187 | 11 |
| 63.38 | 1.467 | 11 |

Record 2
This entry pairs a crystal structure of BaZnSiSe4 with its computed X-ray diffraction stick pattern. Radiation: a wavelength of 1.5418 Å. Structure: a crystal structure in OQMD, relaxed with PBE.
Lines closer than 0.1° are merged.

Structural model:
```
BaZnSiSe4
1.0
11.4741 0.0000 0.0000
0.0000 5.7038 3.1231
0.0000 -5.7038 3.1231
Ba Zn Si Se
2 2 2 8
Cartesian
0.0000 0.0000 0.0000 Ba
5.7371 0.0000 0.0000 Ba
2.8685 2.8128 3.0338 Zn
8.6056 -2.8128 3.0338 Zn
2.8685 -2.7193 3.0470 Si
8.6056 2.7193 3.0470 Si
1.0410 -2.7501 4.4579 Se
2.8685 -0.9627 1.5625 Se
2.8685 1.1021 4.8206 Se
4.6961 -2.7501 4.4579 Se
6.7781 2.7501 4.4579 Se
8.6056 0.9627 1.5625 Se
8.6056 -1.1021 4.8206 Se
10.4331 2.7501 4.4579 Se
```

Most intense lines, 15° ≤ 2θ ≤ 90°, by intensity:
| Position (°2θ) | d_spacing | I (rel.) |
| --- | --- | --- |
| 36.34 | 2.472 | 100 |
| 28.56 | 3.125 | 87 |
| 28.46 | 3.136 | 86 |
| 16.18 | 5.479 | 50 |
| 50.58 | 1.805 | 45 |
| 54.02 | 1.698 | 41 |
| 22.44 | 3.962 | 40 |
| 31.18 | 2.869 | 23 |
| 31.37 | 2.852 | 22 |
| 81.47 | 1.181 | 19 |

Record 3
This entry pairs a crystal structure of Sc2Mo4S3N3 with its computed X-ray diffraction stick pattern. Radiation: a wavelength of 1.5418 Å. Structure: a crystal structure in OQMD, relaxed with PBE.
Lines closer than 0.1° are merged.

Structural model:
```
Sc2Mo4S3N3
1.0
4.8650 -2.8766 0.0000
4.8650 2.8766 0.0000
-3.3025 0.0000 11.3648
Sc Mo S N
4 8 6 6
Cartesian
2.3310 2.3769 6.8428 Sc
2.4452 2.3769 10.2045 Sc
3.9822 -2.3769 1.1603 Sc
4.0965 -2.3769 4.5221 Sc
2.6608 0.4098 1.0353 Mo
2.5181 0.3550 4.6071 Mo
1.0095 -0.4098 6.7177 Mo
0.8669 -0.3550 10.2895 Mo
5.5606 0.3550 1.0753 Mo
5.4180 0.4098 4.6471 Mo
3.9093 -0.3550 6.7578 Mo
3.7667 -0.4098 10.3296 Mo
-0.7961 0.6295 8.5327 S
0.8552 -0.6295 2.8503 S
2.3881 0.4521 8.5236 S
4.0394 -0.4521 2.8412 S
5.5723 0.6295 8.5146 S
7.2235 -0.6295 2.8322 S
0.7812 1.4383 5.6824 N
0.7855 1.5150 11.3259 N
3.9907 1.5150 5.7214 N
2.4325 -1.4383 0.0000 N
2.4368 -1.5150 5.6435 N
5.6419 -1.5150 0.0390 N
```

Most intense lines, 15° ≤ 2θ ≤ 90°, by intensity:
| Position (°2θ) | d_spacing | I (rel.) |
| --- | --- | --- |
| 39.71 | 2.270 | 100 |
| 39.89 | 2.260 | 99 |
| 39.33 | 2.291 | 91 |
| 18.11 | 4.899 | 58 |
| 55.68 | 1.651 | 47 |
| 31.09 | 2.877 | 37 |
| 31.67 | 2.825 | 37 |
| 32.67 | 2.741 | 35 |
| 15.59 | 5.682 | 33 |
| 48.03 | 1.894 | 30 |

Record 4
This entry pairs a crystal structure of TbU2Ni9 with its computed X-ray diffraction stick pattern. Radiation: a wavelength of 1.5418 Å. Structure: a crystal structure in OQMD, relaxed with PBE.
Lines closer than 0.1° are merged.

Structural model:
```
TbU2Ni9
1.0
2.4274 1.4014 8.1520
-2.4274 1.4014 8.1520
0.0000 -2.8029 8.1520
Tb U Ni
1 2 9
Cartesian
0.0000 0.0000 0.0000 Tb
0.0000 0.0000 3.4668 U
0.0000 0.0000 20.9892 U
-1.2151 -0.7015 10.1893 Ni
0.0000 0.0000 8.1433 Ni
0.0000 -1.4030 14.2667 Ni
-1.2151 0.7015 14.2667 Ni
0.0000 0.0000 12.2280 Ni
1.2151 -0.7015 10.1893 Ni
0.0000 1.4030 10.1893 Ni
0.0000 0.0000 16.3126 Ni
1.2151 0.7015 14.2667 Ni
```

Most intense lines, 15° ≤ 2θ ≤ 90°, by intensity:
| Position (°2θ) | d_spacing | I (rel.) |
| --- | --- | --- |
| 43.39 | 2.086 | 100 |
| 33.35 | 2.687 | 65 |
| 37.04 | 2.427 | 64 |
| 36.34 | 2.472 | 40 |
| 43.19 | 2.094 | 38 |
| 78.87 | 1.214 | 23 |
| 71.14 | 1.325 | 22 |
| 66.74 | 1.402 | 21 |
| 64.41 | 1.446 | 20 |
| 21.45 | 4.144 | 20 |

Record 5
This entry pairs a crystal structure of Al6CuAg with its computed X-ray diffraction stick pattern. Radiation: a wavelength of 1.5418 Å. Structure: a crystal structure in OQMD, relaxed with PBE.
Lines closer than 0.1° are merged.

Structural model:
```
Al6CuAg
1.0
5.6291 0.0000 0.0000
-2.8146 4.8749 0.0000
0.0000 0.0000 4.7323
Al Cu Ag
6 1 1
Cartesian
-1.3895 2.4478 0.0000 Al
0.0000 1.6006 2.3661 Al
-1.4284 4.0747 2.3661 Al
1.3895 2.4478 0.0000 Al
0.0000 4.8544 0.0000 Al
1.4284 4.0747 2.3661 Al
0.0000 0.0000 0.0000 Cu
2.8146 1.6250 2.3661 Ag
```

Most intense lines, 15° ≤ 2θ ≤ 90°, by intensity:
| Position (°2θ) | d_spacing | I (rel.) |
| --- | --- | --- |
| 41.68 | 2.167 | 100 |
| 26.25 | 3.396 | 50 |
| 38.03 | 2.366 | 29 |
| 18.20 | 4.875 | 25 |
| 36.88 | 2.437 | 25 |
| 31.79 | 2.815 | 20 |
| 71.20 | 1.324 | 19 |
| 79.19 | 1.210 | 19 |
| 54.01 | 1.698 | 16 |
| 66.43 | 1.407 | 16 |

Record 6
This entry pairs a crystal structure of NdGaPdPt3 with its computed X-ray diffraction stick pattern. Radiation: a wavelength of 1.5418 Å. Structure: a crystal structure in OQMD, relaxed with PBE.
Lines closer than 0.1° are merged.

Structural model:
```
NdGaPdPt3
1.0
5.5295 0.0000 0.0000
-2.7648 4.7887 0.0000
0.0000 0.0000 4.2337
Nd Ga Pd Pt
1 1 1 3
Cartesian
0.0000 0.0000 0.0000 Nd
2.7648 1.5962 0.0000 Ga
0.0000 3.1925 0.0000 Pd
2.7648 0.0096 2.1169 Pt
1.3907 2.3896 2.1169 Pt
4.1388 2.3896 2.1169 Pt
```

Most intense lines, 15° ≤ 2θ ≤ 90°, by intensity:
| Position (°2θ) | d_spacing | I (rel.) |
| --- | --- | --- |
| 38.91 | 2.315 | 100 |
| 37.56 | 2.394 | 81 |
| 43.42 | 2.084 | 75 |
| 28.13 | 3.172 | 54 |
| 58.17 | 1.586 | 47 |
| 42.71 | 2.117 | 39 |
| 83.53 | 1.157 | 34 |
| 67.79 | 1.382 | 30 |
| 62.15 | 1.494 | 25 |
| 18.53 | 4.789 | 24 |

Record 7
This entry pairs a crystal structure of Li2Sc2InSiPd2 with its computed X-ray diffraction stick pattern. Radiation: a wavelength of 1.5418 Å. Structure: a crystal structure in OQMD, relaxed with PBE.
Lines closer than 0.1° are merged.

Structural model:
```
Li2Sc2InSiPd2
1.0
4.4822 0.0000 0.0000
0.0000 4.4822 0.0000
0.0000 0.0000 6.4749
Li Sc In Si Pd
2 2 1 1 2
Cartesian
0.0000 2.2411 1.4973 Li
2.2411 0.0000 4.9777 Li
0.0000 0.0000 0.0000 Sc
2.2411 2.2411 3.2375 Sc
0.0000 0.0000 3.2375 In
2.2411 2.2411 0.0000 Si
0.0000 2.2411 4.9929 Pd
2.2411 0.0000 1.4820 Pd
```

Most intense lines, 15° ≤ 2θ ≤ 90°, by intensity:
| Position (°2θ) | d_spacing | I (rel.) |
| --- | --- | --- |
| 39.80 | 2.265 | 100 |
| 24.15 | 3.685 | 83 |
| 40.24 | 2.241 | 50 |
| 72.85 | 1.298 | 31 |
| 47.48 | 1.915 | 26 |
| 58.22 | 1.585 | 16 |
| 71.96 | 1.312 | 15 |
| 31.43 | 2.847 | 13 |
| 46.71 | 1.945 | 12 |
| 19.81 | 4.482 | 11 |

Record 8
This entry pairs a crystal structure of Pr2Sn2Pd3Au with its computed X-ray diffraction stick pattern. Radiation: a wavelength of 1.5418 Å. Structure: a crystal structure in OQMD, relaxed with PBE.
Lines closer than 0.1° are merged.

Structural model:
```
Pr2Sn2Pd3Au
1.0
4.6941 0.0000 0.0000
-2.3470 4.0652 0.0000
0.0000 0.0000 9.3151
Pr Sn Pd Au
2 2 3 1
Cartesian
0.0000 0.0000 0.0000 Pr
0.0000 2.7101 4.6192 Pr
2.3470 1.3551 2.3702 Sn
2.3470 1.3551 6.7330 Sn
0.0000 0.0000 3.0247 Pd
0.0000 0.0000 6.1687 Pd
0.0000 2.7101 1.5571 Pd
0.0000 2.7101 7.8605 Au
```

Most intense lines, 15° ≤ 2θ ≤ 90°, by intensity:
| Position (°2θ) | d_spacing | I (rel.) |
| --- | --- | --- |
| 36.41 | 2.468 | 100 |
| 38.35 | 2.347 | 97 |
| 53.91 | 1.701 | 32 |
| 68.09 | 1.377 | 32 |
| 29.16 | 3.063 | 29 |
| 69.35 | 1.355 | 17 |
| 64.22 | 1.450 | 14 |
| 21.86 | 4.065 | 12 |
| 89.81 | 1.092 | 12 |
| 82.13 | 1.174 | 11 |

Record 9
This entry pairs a crystal structure of YIrPb2O6 with its computed X-ray diffraction stick pattern. Radiation: a wavelength of 1.5418 Å. Structure: a crystal structure in OQMD, relaxed with PBE.
Lines closer than 0.1° are merged.

Structural model:
```
YIrPb2O6
1.0
-2.8888 2.8888 4.1737
2.8888 -2.8888 4.1737
2.8888 2.8888 -4.1737
Y Ir Pb O
1 1 2 6
Cartesian
0.0000 0.0000 0.0000 Y
0.0000 0.0000 4.1737 Ir
2.8888 0.0000 2.0869 Pb
0.0000 2.8888 2.0869 Pb
1.8798 1.2065 0.0000 O
0.0000 0.0000 2.2082 O
1.6822 -1.0090 4.1737 O
1.2065 3.8977 0.0000 O
0.0000 0.0000 6.1393 O
1.0090 1.6822 4.1737 O
```

Most intense lines, 15° ≤ 2θ ≤ 90°, by intensity:
| Position (°2θ) | d_spacing | I (rel.) |
| --- | --- | --- |
| 30.62 | 2.920 | 100 |
| 30.96 | 2.889 | 53 |
| 54.85 | 1.674 | 44 |
| 44.35 | 2.043 | 25 |
| 54.22 | 1.692 | 22 |
| 63.76 | 1.460 | 17 |
| 43.36 | 2.087 | 14 |
| 89.15 | 1.098 | 13 |
| 88.29 | 1.107 | 12 |
| 89.66 | 1.093 | 11 |

Record 10
This entry pairs a crystal structure of Sm4Co2Hg3 with its computed X-ray diffraction stick pattern. Radiation: a wavelength of 1.5418 Å. Structure: a crystal structure in OQMD, relaxed with PBE.
Lines closer than 0.1° are merged.

Structural model:
```
Sm4Co2Hg3
1.0
7.4160 0.0000 0.0000
0.0000 3.7706 0.0000
-2.5336 0.0000 7.6497
Sm Co Hg
4 2 3
Cartesian
0.1193 0.0000 1.7142 Sm
1.1718 0.0000 5.3255 Sm
3.7106 0.0000 2.3243 Sm
4.7632 0.0000 5.9355 Sm
1.5992 1.8853 3.0586 Co
3.2833 1.8853 4.5912 Co
-1.2668 1.8853 3.8249 Hg
2.1427 1.8853 0.0402 Hg
2.7397 1.8853 7.6095 Hg
```

Most intense lines, 15° ≤ 2θ ≤ 90°, by intensity:
| Position (°2θ) | d_spacing | I (rel.) |
| --- | --- | --- |
| 33.37 | 2.685 | 100 |
| 34.12 | 2.628 | 82 |
| 31.13 | 2.873 | 40 |
| 36.44 | 2.466 | 31 |
| 48.27 | 1.885 | 21 |
| 38.38 | 2.345 | 16 |
| 30.88 | 2.895 | 16 |
| 58.56 | 1.576 | 14 |
| 61.96 | 1.498 | 13 |
| 70.03 | 1.344 | 13 |

Record 11
This entry pairs a crystal structure of NaTe4PbAu3 with its computed X-ray diffraction stick pattern. Radiation: a wavelength of 1.5418 Å. Structure: a crystal structure in OQMD, relaxed with PBE.
Lines closer than 0.1° are merged.

Structural model:
```
NaTe4PbAu3
1.0
6.7193 0.0000 0.0000
0.0000 6.7193 0.0000
0.0000 0.0000 6.7193
Na Te Pb Au
1 4 1 3
Cartesian
0.0000 0.0000 0.0000 Na
1.6566 1.6566 1.6566 Te
1.6566 5.0627 5.0627 Te
5.0627 1.6566 5.0627 Te
5.0627 5.0627 1.6566 Te
3.3596 3.3596 3.3596 Pb
0.0000 3.3596 3.3596 Au
3.3596 0.0000 3.3596 Au
3.3596 3.3596 0.0000 Au
```

Most intense lines, 15° ≤ 2θ ≤ 90°, by intensity:
| Position (°2θ) | d_spacing | I (rel.) |
| --- | --- | --- |
| 37.87 | 2.376 | 100 |
| 22.92 | 3.879 | 58 |
| 68.40 | 1.372 | 35 |
| 29.73 | 3.005 | 33 |
| 44.73 | 2.026 | 30 |
| 40.27 | 2.240 | 17 |
| 54.64 | 1.680 | 17 |
| 60.01 | 1.542 | 12 |
| 56.47 | 1.630 | 11 |
| 80.94 | 1.188 | 11 |

Record 12
This entry pairs a crystal structure of Li2TaAg with its computed X-ray diffraction stick pattern. Radiation: a wavelength of 1.5418 Å. Structure: a crystal structure in OQMD, relaxed with PBE.
Lines closer than 0.1° are merged.

Structural model:
```
Li2TaAg
1.0
0.0000 3.1475 3.1475
3.1475 0.0000 3.1475
3.1475 3.1475 0.0000
Li Ta Ag
2 1 1
Cartesian
0.0000 0.0000 0.0000 Li
1.5737 1.5737 1.5737 Li
3.1475 3.1475 3.1475 Ta
4.7212 4.7212 4.7212 Ag
```

Most intense lines, 15° ≤ 2θ ≤ 90°, by intensity:
| Position (°2θ) | d_spacing | I (rel.) |
| --- | --- | --- |
| 24.49 | 3.634 | 100 |
| 40.53 | 2.226 | 87 |
| 47.93 | 1.898 | 49 |
| 73.73 | 1.285 | 29 |
| 64.53 | 1.444 | 20 |
| 79.04 | 1.211 | 15 |
| 58.66 | 1.574 | 15 |
| 87.70 | 1.113 | 10 |
| 28.36 | 3.147 | 5 |
| 66.42 | 1.408 | 2 |